For Co3O4, a GGA+U-relaxed structure gives the calculated powder X-ray diffraction pattern in this record (CuKα).
Neutral-atom scattering factors, no anomalous dispersion.

Principal peaks in the range 2θ from 5° to 70°, in order of falling intensity:
two_theta, I/Imax
35.7, 100
36.0, 79
35.5, 58
62.8, 35
63.3, 34
43.5, 31
30.4, 23
57.3, 23
30.2, 23
57.4, 21

Atomic structure:
```
Co3O4
1.0
5.105 -2.914 0.000
5.105 2.914 0.000
-3.407 0.000 4.866
Co O
6 8
Direct
0.000 0.000 0.000
0.000 0.000 0.500
0.000 0.500 0.000
0.371 0.371 0.616
0.500 0.000 0.000
0.629 0.629 0.384
0.222 0.768 0.254
0.232 0.778 0.746
0.233 0.233 0.748
0.235 0.235 0.220
0.765 0.765 0.780
0.767 0.767 0.252
0.768 0.222 0.254
0.778 0.232 0.746
```

For Li3Fe4B4O12, a GGA+U-relaxed structure gives the calculated powder X-ray diffraction pattern in this record (CuKα).
Neutral-atom scattering factors, no anomalous dispersion.

Principal peaks in the range 2θ from 5° to 70°, in order of falling intensity:
two_theta, I/Imax
35.2, 100
21.6, 79
19.5, 72
34.1, 63
21.4, 47
26.5, 39
34.2, 32
40.5, 32
26.0, 32
49.4, 31

Atomic structure:
```
Li3Fe4B4O12
1.0
5.257 0.000 0.000
0.059 9.095 0.000
0.266 0.002 10.201
Li Fe B O
6 8 8 24
Direct
0.000 0.000 0.000
0.002 0.011 0.489
0.181 0.518 0.742
0.192 0.495 0.250
0.510 0.508 0.984
0.679 0.020 0.738
0.005 0.343 0.962
0.006 0.666 0.468
0.184 0.849 0.712
0.188 0.161 0.210
0.509 0.180 0.456
0.510 0.847 0.961
0.677 0.352 0.709
0.688 0.681 0.218
0.010 0.332 0.456
0.013 0.677 0.960
0.175 0.179 0.704
0.178 0.831 0.206
0.504 0.851 0.455
0.509 0.175 0.958
0.680 0.678 0.713
0.686 0.351 0.214
0.033 0.052 0.694
0.048 0.961 0.198
0.055 0.699 0.244
0.062 0.310 0.746
0.123 0.811 0.926
0.126 0.462 0.438
0.142 0.198 0.428
0.150 0.547 0.945
0.247 0.846 0.492
0.253 0.168 0.998
0.434 0.176 0.665
0.434 0.822 0.169
0.538 0.553 0.720
0.553 0.230 0.261
0.553 0.484 0.199
0.567 0.814 0.744
0.621 0.311 0.931
0.635 0.726 0.410
0.638 0.982 0.464
0.653 0.048 0.940
0.760 0.320 0.503
0.760 0.674 0.009
0.940 0.672 0.677
0.945 0.344 0.179
```

For Li10Mn3Cr3Ni2O16, a GGA+U-relaxed structure gives the calculated powder X-ray diffraction pattern in this record (CuKα).
Neutral-atom scattering factors, no anomalous dispersion.

Principal peaks in the range 2θ from 5° to 70°, in order of falling intensity:
two_theta, I/Imax
19.5, 100
44.9, 97
18.1, 88
35.7, 56
36.2, 50
35.2, 44
34.9, 40
19.0, 36
44.1, 36
35.4, 36

Atomic structure:
```
Li10Mn3Cr3Ni2O16
1.0
5.917 0.000 0.000
-2.910 5.232 0.000
-0.155 -0.258 9.802
Li Mn Cr Ni O
10 3 3 2 16
Direct
0.000 0.000 0.000
0.002 0.017 0.501
0.181 0.404 0.580
0.200 0.819 0.572
0.339 0.683 0.801
0.384 0.187 0.082
0.602 0.802 0.575
0.671 0.342 0.301
0.787 0.604 0.072
0.801 0.192 0.081
0.663 0.836 0.302
0.831 0.671 0.802
0.833 0.182 0.804
0.168 0.837 0.303
0.170 0.343 0.304
0.337 0.177 0.803
0.327 0.660 0.048
0.663 0.342 0.547
0.005 0.042 0.688
0.015 0.513 0.184
0.027 0.020 0.186
0.153 0.325 0.921
0.165 0.847 0.912
0.313 0.663 0.426
0.325 0.167 0.422
0.490 0.510 0.190
0.490 0.976 0.187
0.506 0.499 0.689
0.516 0.031 0.685
0.658 0.310 0.926
0.669 0.807 0.929
0.837 0.170 0.414
0.837 0.693 0.417
0.984 0.527 0.679
```

For V3P6H14N3O24, a GGA+U-relaxed structure gives the calculated powder X-ray diffraction pattern in this record (CuKα).
Neutral-atom scattering factors, no anomalous dispersion.

Principal peaks in the range 2θ from 5° to 70°, in order of falling intensity:
two_theta, I/Imax
11.3, 100
13.9, 92
27.9, 80
13.2, 64
29.6, 41
29.5, 39
10.5, 36
33.0, 33
29.8, 27
26.9, 26

Atomic structure:
```
V3P6H14N3O24
1.0
7.361 0.000 0.000
3.258 8.349 0.000
3.127 3.146 8.436
V P H N O
3 6 14 3 24
Direct
0.000 0.000 0.000
0.199 0.218 0.448
0.801 0.782 0.552
0.080 0.622 0.266
0.090 0.844 0.719
0.450 0.051 0.722
0.550 0.949 0.278
0.910 0.156 0.281
0.920 0.378 0.734
0.084 0.535 0.731
0.282 0.951 0.214
0.303 0.283 0.936
0.353 0.305 0.086
0.362 0.461 0.901
0.396 0.752 0.749
0.461 0.728 0.066
0.539 0.272 0.934
0.604 0.248 0.251
0.638 0.539 0.099
0.647 0.695 0.914
0.697 0.717 0.064
0.718 0.049 0.786
0.916 0.465 0.269
0.389 0.331 0.965
0.500 0.500 0.500
0.611 0.669 0.035
0.009 0.684 0.409
0.012 0.260 0.309
0.054 0.084 0.150
0.101 0.408 0.765
0.156 0.761 0.116
0.162 0.981 0.570
0.243 0.452 0.299
0.272 0.030 0.860
0.280 0.703 0.786
0.394 0.181 0.564
0.412 0.874 0.242
0.428 0.129 0.289
0.572 0.871 0.711
0.588 0.126 0.758
0.606 0.819 0.436
0.720 0.297 0.214
0.728 0.970 0.140
0.757 0.548 0.701
0.838 0.019 0.430
0.844 0.239 0.884
0.899 0.592 0.235
0.946 0.916 0.850
0.988 0.740 0.691
0.991 0.316 0.591
```

For K3CrPCO7, a GGA+U-relaxed structure gives the calculated powder X-ray diffraction pattern in this record (CuKα).
Neutral-atom scattering factors, no anomalous dispersion.

Principal peaks in the range 2θ from 5° to 70°, in order of falling intensity:
two_theta, I/Imax
31.8, 100
31.2, 59
8.9, 35
32.0, 34
30.8, 31
26.2, 26
31.5, 22
53.9, 16
45.5, 16
45.2, 15

Atomic structure:
```
K3CrPCO7
1.0
5.733 0.000 0.000
0.000 6.807 0.000
-0.238 0.000 9.941
K Cr P C O
6 2 2 2 14
Direct
0.241 0.250 0.078
0.246 0.510 0.728
0.246 0.990 0.728
0.754 0.010 0.272
0.754 0.490 0.272
0.759 0.750 0.922
0.243 0.750 0.358
0.757 0.250 0.642
0.296 0.250 0.423
0.704 0.750 0.577
0.270 0.750 0.080
0.730 0.250 0.920
0.087 0.750 0.159
0.139 0.250 0.547
0.239 0.750 0.950
0.248 0.065 0.332
0.248 0.435 0.332
0.439 0.750 0.535
0.477 0.750 0.135
0.523 0.250 0.865
0.561 0.250 0.465
0.752 0.565 0.668
0.752 0.935 0.668
0.761 0.250 0.050
0.861 0.750 0.453
0.913 0.250 0.841
```

For Ba3Fe2BrO5, a GGA+U-relaxed structure gives the calculated powder X-ray diffraction pattern in this record (CuKα).
Neutral-atom scattering factors, no anomalous dispersion.

Principal peaks in the range 2θ from 5° to 70°, in order of falling intensity:
two_theta, I/Imax
30.7, 100
30.5, 48
54.3, 39
43.6, 27
54.8, 15
64.0, 12
37.7, 12
21.4, 12
44.4, 10
63.4, 8

Atomic structure:
```
Ba3Fe2BrO5
1.0
4.151 0.000 0.000
0.000 4.151 0.000
0.000 0.000 12.251
Ba Fe Br O
3 2 1 5
Direct
0.000 0.000 0.000
0.000 0.000 0.315
0.000 0.000 0.685
0.500 0.500 0.158
0.500 0.500 0.842
0.500 0.500 0.500
0.000 0.500 0.189
0.000 0.500 0.811
0.500 0.000 0.189
0.500 0.000 0.811
0.500 0.500 0.000
```